Theoretical X-ray powder pattern of B2S3 for Cu Kα, 1.54184 Å, from a DFT-relaxed cell (PBE, the Materials Project).
Lines closer than 0.1° are merged.

Atomic structure:
Unit cell a=5.4566 b=5.4566 c=23.2864 alpha=90.00 beta=90.00 gamma=120.00
Space group R-3c (No. 167, hexagonal axes)
One atom of each set of equivalent atoms:
B1 0.0000 0.0000 0.0836 [12 per cell]
S1 0.0000 0.3317 0.2500 [18 per cell]

Top 12 peaks for 2θ = 10–90°, by angle:
hkl  Position (°2θ)  I (rel.)
0 0 6  22.91  100
1 1 0  32.83  8
1 1 3  34.86  95
1 1 6  40.41  9
0 0 12  46.82  11
1 1 9  48.49  33
3 0 0  58.60  16
3 0 6  63.77  24
1 1 15  69.69  11
2 2 3  70.03  10
3 0 12  78.15  14
2 2 9  79.41  8

Theoretical X-ray powder pattern of BS2 for Cu Kα, 1.54184 Å, from a DFT-relaxed cell (PBE, the Materials Project).
Lines closer than 0.1° are merged.

Atomic structure:
Unit cell a=12.4586 b=4.9229 c=21.9156 alpha=90.00 beta=107.87 gamma=90.00
Space group P2_1/c (No. 14)
One atom of each set of equivalent atoms:
B1 0.0856 0.1384 0.3695 [4 per cell]
B2 0.1669 0.6684 0.1558 [4 per cell]
B3 0.2710 0.1856 0.9666 [4 per cell]
B4 0.3064 0.6106 0.5925 [4 per cell]
S1 0.0528 0.5475 0.1845 [4 per cell]
S2 0.1188 0.1893 0.9460 [4 per cell]
S3 0.1576 0.6548 0.5819 [4 per cell]
S4 0.1983 0.0339 0.3392 [4 per cell]
S5 0.3038 0.5928 0.2114 [4 per cell]
S6 0.3376 0.1673 0.4120 [4 per cell]
S7 0.3731 0.0526 0.0389 [4 per cell]
S8 0.4086 0.7408 0.6640 [4 per cell]

Top 12 peaks for 2θ = 10–90°, by angle:
hkl  Position (°2θ)  I (rel.)
2 0 0  14.94  17
1 0 -4  16.34  10
0 0 4  17.00  9
0 1 2  19.94  100
1 1 -2  20.37  17
0 1 3  22.10  97
2 1 -3  24.43  21
4 0 0  30.15  9
0 0 8  34.42  27
3 0 -8  34.98  12
5 0 -6  38.83  9
1 2 -5  42.11  16

Theoretical X-ray powder pattern of B2S3 for Cu Kα, 1.54184 Å, from a DFT-relaxed cell (PBE, the Materials Project).
Lines closer than 0.1° are merged.

Atomic structure:
Unit cell a=4.5461 b=10.8068 c=19.2759 alpha=90.00 beta=92.09 gamma=90.00
Space group P2_1/c (No. 14)
One atom of each set of equivalent atoms:
B1 0.0414 0.2186 0.2414 [4 per cell]
B2 0.0793 0.5338 0.6814 [4 per cell]
B3 0.2448 0.1864 0.0988 [4 per cell]
B4 0.4474 0.0990 0.5103 [4 per cell]
S1 0.0122 0.5541 0.2434 [4 per cell]
S2 0.0630 0.7029 0.6789 [4 per cell]
S3 0.1784 0.2025 0.6666 [4 per cell]
S4 0.1987 0.0200 0.0976 [4 per cell]
S5 0.3811 0.2363 0.0148 [4 per cell]
S6 0.4111 0.5313 0.0697 [4 per cell]

Top 12 peaks for 2θ = 10–90°, by angle:
hkl  Position (°2θ)  I (rel.)
0 1 3  16.06  7
1 1 0  21.21  11
1 1 -1  21.56  12
1 0 2  21.93  100
0 2 5  28.45  9
1 2 -4  31.30  14
0 2 6  32.44  26
0 4 0  33.16  9
0 4 1  33.49  10
1 4 1  39.15  8
1 4 2  40.11  8
1 2 8  46.46  12